Diffraction record for Ac4HoSn2. The powder diffraction line list is theoretical, not measured: it uses a DFT-relaxed cell (GGA-PBE, Alexandria) and a wavelength of 1.5418 Å.

Atomic structure:
a b c (Å): 7.6336 8.4397 10.1961
angles (deg): 69.92 69.59 67.36
Fractional coordinates of all 14 atoms:
1 Ac 0.0000 0.0000 0.0000
2 Ac 0.0204 0.8868 0.5211
3 Ac 0.3822 0.5108 0.1274
4 Ac 0.4502 0.9563 0.1565
5 Ac 0.4762 0.8536 0.6681
6 Ac 0.5103 0.4279 0.4867
7 Ac 0.9077 0.4111 0.6667
8 Ac 0.9569 0.3679 0.1958
9 Ho 0.2899 0.4057 0.8443
10 Ho 0.8327 0.7056 0.8971
11 Sn 0.2526 0.1943 0.4269
12 Sn 0.6648 0.0987 0.7816
13 Sn 0.6818 0.0974 0.3120
14 Sn 0.8428 0.7060 0.3439

Largest 10 diffraction maxima, in order of rising 2θ, 10° ≤ 2θ ≤ 80°:
2θ/deg, I (rel.)
23.54, 40
26.12, 38
26.58, 35
27.53, 76
27.72, 100
28.10, 61
28.37, 77
28.71, 60
34.02, 38
35.24, 53



Diffraction record for Th3SbAs2Rh8. The powder diffraction line list is theoretical, not measured: it uses a DFT-relaxed cell (GGA-PBE, Alexandria) and a wavelength of 1.5418 Å.

Atomic structure:
a b c (Å): 5.5520 5.5520 9.8572
angles (deg): 90.00 90.00 120.00
Fractional coordinates of all 14 atoms:
1 Th 0.0000 0.0000 0.0000
2 Th 0.3333 0.6667 0.5811
3 Th 0.6667 0.3333 0.4189
4 Sb 0.0000 0.0000 0.5000
5 As 0.3333 0.6667 0.0929
6 As 0.6667 0.3333 0.9071
7 Rh 0.1663 0.3327 0.2767
8 Rh 0.1663 0.8337 0.2767
9 Rh 0.3327 0.1663 0.7233
10 Rh 0.3333 0.6667 0.8477
11 Rh 0.6667 0.3333 0.1523
12 Rh 0.6673 0.8337 0.2767
13 Rh 0.8337 0.1663 0.7233
14 Rh 0.8337 0.6673 0.7233

Largest 10 diffraction maxima, in order of rising 2θ, 10° ≤ 2θ ≤ 80°:
2θ/deg, I (rel.)
32.25, 97
33.02, 60
37.17, 88
38.55, 94
41.16, 100
41.81, 53
57.99, 25
60.77, 28
63.62, 55
67.48, 41



Diffraction record for TlCo5. The powder diffraction line list is theoretical, not measured: it uses a DFT-relaxed cell (GGA-PBE, Alexandria) and a wavelength of 1.5418 Å.

Atomic structure:
a b c (Å): 4.9448 4.9448 6.0806
angles (deg): 105.86 105.86 32.95
Fractional coordinates of all 6 atoms:
1 Tl 0.0000 0.0000 0.0000
2 Co 0.0300 0.0300 0.5605
3 Co 0.3173 0.3173 0.6376
4 Co 0.3518 0.3518 0.2567
5 Co 0.6658 0.6658 0.3564
6 Co 0.7084 0.7084 0.8783

Largest 10 diffraction maxima, in order of rising 2θ, 10° ≤ 2θ ≤ 80°:
2θ/deg, I (rel.)
15.20, 16
19.53, 11
21.09, 14
28.13, 10
33.43, 11
35.68, 12
38.14, 19
41.29, 22
42.93, 28
43.96, 100



Diffraction record for Tb4Nd3Tl2. The powder diffraction line list is theoretical, not measured: it uses a DFT-relaxed cell (GGA-PBE, Alexandria) and a wavelength of 1.5418 Å.

Atomic structure:
a b c (Å): 9.4302 9.4302 6.5939
angles (deg): 93.78 93.78 92.86
Fractional coordinates of all 18 atoms:
1 Tb 0.1077 0.6819 0.9131
2 Tb 0.1744 0.5248 0.4117
3 Tb 0.3181 0.8923 0.5869
4 Tb 0.4752 0.8256 0.0883
5 Tb 0.5248 0.1744 0.9117
6 Tb 0.6819 0.1077 0.4131
7 Tb 0.8256 0.4752 0.5883
8 Tb 0.8923 0.3181 0.0869
9 Nd 0.0473 0.1797 0.5968
10 Nd 0.1797 0.0473 0.0968
11 Nd 0.4685 0.5315 0.7500
12 Nd 0.5315 0.4685 0.2500
13 Nd 0.8203 0.9527 0.9032
14 Nd 0.9527 0.8203 0.4032
15 Tl 0.2193 0.3716 0.9637
16 Tl 0.3716 0.2193 0.4637
17 Tl 0.6284 0.7807 0.5363
18 Tl 0.7807 0.6284 0.0363

Largest 10 diffraction maxima, in order of rising 2θ, 10° ≤ 2θ ≤ 80°:
2θ/deg, I (rel.)
27.17, 30
29.47, 59
30.77, 66
31.73, 100
32.06, 77
32.49, 36
33.20, 84
33.34, 49
35.30, 54
49.46, 33



Diffraction record for SrAc2Ag9. The powder diffraction line list is theoretical, not measured: it uses a DFT-relaxed cell (GGA-PBE, Alexandria) and a wavelength of 1.5418 Å.

Atomic structure:
a b c (Å): 10.1234 10.1234 10.1234
angles (deg): 33.75 33.75 33.75
Fractional coordinates of all 12 atoms:
1 Sr 0.0000 0.0000 0.0000
2 Ac 0.1416 0.1416 0.1416
3 Ac 0.8584 0.8584 0.8584
4 Ag 0.0814 0.5825 0.5825
5 Ag 0.3329 0.3329 0.3329
6 Ag 0.4175 0.4175 0.9186
7 Ag 0.4175 0.9186 0.4175
8 Ag 0.5000 0.5000 0.5000
9 Ag 0.5825 0.0814 0.5825
10 Ag 0.5825 0.5825 0.0814
11 Ag 0.6671 0.6671 0.6671
12 Ag 0.9186 0.4175 0.4175

Largest 10 diffraction maxima, in order of rising 2θ, 10° ≤ 2θ ≤ 80°:
2θ/deg, I (rel.)
28.00, 28
30.42, 36
30.55, 22
35.41, 31
35.89, 100
37.51, 20
38.73, 31
38.88, 25
57.66, 32
63.30, 25



Diffraction record for NdTh2Tl3. The powder diffraction line list is theoretical, not measured: it uses a DFT-relaxed cell (GGA-PBE, Alexandria) and a wavelength of 1.5418 Å.

Atomic structure:
a b c (Å): 3.5795 3.5795 13.7056
angles (deg): 90.00 90.00 90.00
Fractional coordinates of all 6 atoms:
1 Nd 0.0000 0.0000 0.0000
2 Th 0.0000 0.0000 0.3328
3 Th 0.0000 0.0000 0.6672
4 Tl 0.5000 0.5000 0.1651
5 Tl 0.5000 0.5000 0.5000
6 Tl 0.5000 0.5000 0.8349

Largest 10 diffraction maxima, in order of rising 2θ, 10° ≤ 2θ ≤ 80°:
2θ/deg, I (rel.)
25.72, 1
31.76, 100
35.47, 37
39.45, 14
51.03, 14
54.08, 23
61.37, 31
66.35, 12
66.75, 12
75.06, 4